(1)
For U8As5P3, DFT lattice parameters and positions (GGA-PBE) gives the theoretical powder X-ray diffraction pattern in this record (copper Kα).
No peak broadening, texture or thermal motion is included.

Crystal structure
```
data_U8As5P3
_chemical_formula_sum 'U24 As15 P9'
_cell_length_a 8.0435
_cell_length_b 8.0435
_cell_length_c 19.8107
_cell_angle_alpha 90.00
_cell_angle_beta 90.00
_cell_angle_gamma 120.00
_space_group_name_H-M_alt 'R -3 m'
_space_group_IT_number 166
_space_group_name_Hall '-R 3 2"'
loop_
_atom_site_label
_atom_site_type_symbol
_atom_site_fract_x
_atom_site_fract_y
_atom_site_fract_z
_atom_site_occupancy
U1 U 0.0000 0.0000 0.2454 1
U2 U 0.0063 0.5032 0.7531 1
As1 As 0.0000 0.0000 0.0000 1
As2 As 0.0000 0.0000 0.5000 1
As3 As 0.0000 0.5000 0.0000 1
P1 P 0.0000 0.5000 0.5000 1
```

Largest 8 diffraction maxima, sorted by position, 2θ = 5–70°:
h k l  2theta  I/Imax
0 0 6  27.0  16
2 0 2  27.1  48
0 2 4  31.4  100
2 0 8  44.9  37
2 2 0  45.1  37
0 4 2  53.4  24
4 0 4  56.0  20
0 4 8  65.5  12

(2)
For EuAl4Ag, DFT lattice parameters and positions (GGA-PBE) gives the theoretical powder X-ray diffraction pattern in this record (copper Kα).
No peak broadening, texture or thermal motion is included.

Crystal structure
```
data_EuAl4Ag
_chemical_formula_sum 'Eu4 Al16 Ag4'
_cell_length_a 7.8685
_cell_length_b 7.8685
_cell_length_c 7.8685
_cell_angle_alpha 90.00
_cell_angle_beta 90.00
_cell_angle_gamma 90.00
_space_group_name_H-M_alt 'F -4 3 m'
_space_group_IT_number 216
_space_group_name_Hall 'F -4 2 3'
loop_
_atom_site_label
_atom_site_type_symbol
_atom_site_fract_x
_atom_site_fract_y
_atom_site_fract_z
_atom_site_occupancy
Eu1 Eu 0.0000 0.0000 0.0000 1
Al1 Al 0.1256 0.1256 0.3744 1
Ag1 Ag 0.2500 0.2500 0.7500 1
```

Largest 8 diffraction maxima, sorted by position, 2θ = 5–70°:
h k l  2theta  I/Imax
1 1 1  19.5  53
2 2 0  32.2  93
3 1 1  37.9  100
2 2 2  39.7  7
3 3 1  50.6  14
4 2 2  57.4  35
3 3 3  61.2  32
4 4 0  67.3  21